Calculated powder XRD pattern of NbV3Cr2P6O24 for Cu Kα (λ = 1.5418 Å), from the GGA+U geometry in the Materials Project.

Cell and atoms:
Unit cell a=8.6499 b=8.6499 c=21.2141 alpha=90.00 beta=90.00 gamma=120.00
Space group R3 (No. 146, hexagonal axes)
One atom of each set of equivalent atoms:
Nb 0.0000 0.0000 0.0000 (multiplicity 3)
V 0.0000 0.0000 0.2134 (multiplicity 3)
V 0.0000 0.0000 0.4999 (multiplicity 3)
V 0.0000 0.0000 0.7124 (multiplicity 3)
Cr 0.0000 0.0000 0.3565 (multiplicity 3)
Cr 0.0000 0.0000 0.8537 (multiplicity 3)
P 0.0004 0.7032 0.1094 (multiplicity 9)
P 0.0484 0.3750 0.2730 (multiplicity 9)
O 0.0016 0.1929 0.5465 (multiplicity 9)
O 0.0171 0.8353 0.7781 (multiplicity 9)
O 0.0204 0.1827 0.2785 (multiplicity 9)
O 0.1398 0.6672 0.7153 (multiplicity 9)
O 0.1396 0.6691 0.8341 (multiplicity 9)
O 0.1422 0.4724 0.3333 (multiplicity 9)
O 0.1638 0.4797 0.6018 (multiplicity 9)
O 0.1702 0.6864 0.1015 (multiplicity 9)

Main lines, by angle (2θ from 10° to 80°):
Position (°2θ)	d/Å	intensity	h k l
20.5	4.326	100	1 1 0
24.1	3.690	99	1 1 3
29.2	3.059	14	0 2 4
31.9	2.807	17	2 1 1
32.7	2.737	72	2 -1 6
36.0	2.497	41	3 0 0
46.9	1.935	30	3 -2 8
49.4	1.845	28	2 2 6
56.3	1.635	40	4 1 0
62.6	1.484	26	0 1 14